1.
The following is a simulated powder XRD pattern of Sm2AlGe3. It was derived from a crystal structure in the Materials Project, relaxed with GGA-PBE, using CuKα.
Lines closer than 0.1° are merged.

a b c (Å): 6.876 4.310 18.080
angles (deg): 90.00 90.00 90.00
Element x y z (fractional)
Sm: 0.172 0.250 0.084
Sm: 0.173 0.250 0.296
Sm: 0.327 0.750 0.796
Sm: 0.328 0.750 0.584
Sm: 0.672 0.250 0.416
Sm: 0.673 0.250 0.204
Sm: 0.827 0.750 0.704
Sm: 0.828 0.750 0.916
Al: 0.049 0.750 0.436
Al: 0.451 0.250 0.936
Al: 0.549 0.750 0.064
Al: 0.951 0.250 0.564
Ge: 0.024 0.250 0.824
Ge: 0.142 0.250 0.688
Ge: 0.241 0.250 0.465
Ge: 0.259 0.750 0.965
Ge: 0.358 0.750 0.188
Ge: 0.476 0.750 0.324
Ge: 0.524 0.250 0.676
Ge: 0.642 0.250 0.812
Ge: 0.741 0.250 0.035
Ge: 0.759 0.750 0.535
Ge: 0.858 0.750 0.312
Ge: 0.976 0.750 0.176

The 6 most intense peaks (10° ≤ 2θ ≤ 80°), by angle:
d_spacing, 2θ (°), I/Imax
2.840, 31.5, 31
2.688, 33.3, 52
2.658, 33.7, 35
2.570, 34.9, 100
2.155, 41.9, 42
1.936, 46.9, 29

=====

2.
The following is a simulated powder XRD pattern of HPbClO. It was derived from a crystal structure in the Materials Project, relaxed with GGA-PBE, using CuKα.
Lines closer than 0.1° are merged.

a b c (Å): 5.846 5.846 7.395
angles (deg): 115.32 115.32 40.61
Element x y z (fractional)
H: 0.114 0.114 0.098
H: 0.886 0.886 0.902
Pb: 0.175 0.175 0.741
Pb: 0.825 0.825 0.259
Cl: 0.434 0.434 0.688
Cl: 0.566 0.566 0.312
O: 0.198 0.198 0.085
O: 0.802 0.802 0.915

The 6 most intense peaks (10° ≤ 2θ ≤ 80°), by angle:
d_spacing, 2θ (°), I/Imax
5.221, 17.0, 91
3.532, 25.2, 100
3.290, 27.1, 69
3.035, 29.4, 92
2.538, 35.4, 74
2.481, 36.2, 62

=====

3.
The following is a simulated powder XRD pattern of Ho3Tm. It was derived from a crystal structure in the Materials Project, relaxed with GGA-PBE, using CuKα.
Lines closer than 0.1° are merged.

a b c (Å): 7.189 7.189 5.579
angles (deg): 90.00 90.00 120.00
Element x y z (fractional)
Ho: 0.167 0.334 0.250
Ho: 0.167 0.833 0.250
Ho: 0.334 0.167 0.750
Ho: 0.666 0.833 0.250
Ho: 0.833 0.167 0.750
Ho: 0.833 0.666 0.750
Tm: 0.333 0.667 0.750
Tm: 0.667 0.333 0.250

The 6 most intense peaks (10° ≤ 2θ ≤ 80°), by angle:
d_spacing, 2θ (°), I/Imax
3.113, 28.7, 24
2.789, 32.1, 24
2.718, 32.9, 100
1.797, 50.8, 20
1.596, 57.8, 20
1.511, 61.4, 23

=====

4.
The following is a simulated powder XRD pattern of AlSi2O6. It was derived from a crystal structure in the Materials Project, relaxed with GGA-PBE, using CuKα.
Lines closer than 0.1° are merged.

a b c (Å): 7.878 7.878 8.413
angles (deg): 90.00 90.00 90.00
Element x y z (fractional)
Al: 0.088 0.088 0.000
Al: 0.412 0.588 0.750
Al: 0.588 0.412 0.250
Al: 0.912 0.912 0.500
Si: 0.112 0.674 0.018
Si: 0.174 0.388 0.268
Si: 0.326 0.888 0.482
Si: 0.388 0.174 0.732
Si: 0.612 0.826 0.232
Si: 0.674 0.112 0.982
Si: 0.826 0.612 0.768
Si: 0.888 0.326 0.518
O: 0.068 0.378 0.435
O: 0.115 0.876 0.055
O: 0.122 0.568 0.185
O: 0.124 0.885 0.445
O: 0.129 0.228 0.156
O: 0.228 0.129 0.844
O: 0.272 0.629 0.906
O: 0.371 0.728 0.594
O: 0.376 0.385 0.305
O: 0.378 0.068 0.565
O: 0.385 0.376 0.695
O: 0.432 0.878 0.315
O: 0.568 0.122 0.815
O: 0.615 0.624 0.195
O: 0.622 0.932 0.065
O: 0.624 0.615 0.805
O: 0.629 0.272 0.094
O: 0.728 0.371 0.406
O: 0.772 0.871 0.344
O: 0.871 0.772 0.656
O: 0.876 0.115 0.945
O: 0.878 0.432 0.685
O: 0.885 0.124 0.555
O: 0.932 0.622 0.935

The 6 most intense peaks (10° ≤ 2θ ≤ 80°), by angle:
d_spacing, 2θ (°), I/Imax
4.645, 19.1, 13
3.711, 24.0, 32
3.567, 25.0, 100
3.357, 26.6, 17
3.250, 27.4, 20
1.969, 46.1, 11

=====

5.
The following is a simulated powder XRD pattern of LiDyS2. It was derived from a crystal structure in the Materials Project, relaxed with GGA-PBE, using CuKα.
Lines closer than 0.1° are merged.

a b c (Å): 3.916 3.916 5.326
angles (deg): 90.00 90.00 90.00
Element x y z (fractional)
Li: 0.000 0.000 0.000
Dy: 0.500 0.500 0.500
S: 0.000 0.000 0.500
S: 0.500 0.500 0.000

The 6 most intense peaks (10° ≤ 2θ ≤ 80°), by angle:
d_spacing, 2θ (°), I/Imax
5.326, 16.6, 100
3.916, 22.7, 97
3.155, 28.3, 44
2.769, 32.3, 90
2.457, 36.6, 58
1.920, 47.4, 60

=====

6.
The following is a simulated powder XRD pattern of Cs2RbAlF6. It was derived from a crystal structure in the Materials Project, relaxed with GGA-PBE, using CuKα.
Lines closer than 0.1° are merged.

a b c (Å): 5.980 5.980 5.980
angles (deg): 60.00 60.00 60.00
Element x y z (fractional)
Cs: 0.250 0.250 0.250
Cs: 0.750 0.750 0.750
Rb: 0.000 0.000 0.000
Al: 0.500 0.500 0.500
F: 0.290 0.290 0.710
F: 0.290 0.710 0.290
F: 0.290 0.710 0.710
F: 0.710 0.290 0.290
F: 0.710 0.290 0.710
F: 0.710 0.710 0.290

The 6 most intense peaks (10° ≤ 2θ ≤ 80°), by angle:
d_spacing, 2θ (°), I/Imax
2.990, 29.9, 100
2.441, 36.8, 20
2.114, 42.8, 34
1.726, 53.0, 36
1.495, 62.1, 20
1.337, 70.4, 20

=====

7.
The following is a simulated powder XRD pattern of NpPt3. It was derived from a crystal structure in the Materials Project, relaxed with GGA-PBE, using CuKα.
Lines closer than 0.1° are merged.

a b c (Å): 5.799 5.799 9.842
angles (deg): 90.00 90.00 120.00
Element x y z (fractional)
Np: 0.000 0.000 0.000
Np: 0.000 0.000 0.500
Np: 0.333 0.667 0.250
Np: 0.667 0.333 0.750
Pt: 0.000 0.500 0.000
Pt: 0.000 0.500 0.500
Pt: 0.170 0.339 0.750
Pt: 0.170 0.830 0.750
Pt: 0.339 0.170 0.250
Pt: 0.500 0.000 0.000
Pt: 0.500 0.000 0.500
Pt: 0.500 0.500 0.000
Pt: 0.500 0.500 0.500
Pt: 0.661 0.830 0.750
Pt: 0.830 0.170 0.250
Pt: 0.830 0.661 0.250

The 6 most intense peaks (10° ≤ 2θ ≤ 80°), by angle:
d_spacing, 2θ (°), I/Imax
2.460, 36.5, 39
2.433, 36.9, 42
2.237, 40.3, 100
1.994, 45.5, 24
1.450, 64.2, 23
1.249, 76.2, 28

=====

8.
The following is a simulated powder XRD pattern of U3O10. It was derived from a crystal structure in the Materials Project, relaxed with GGA-PBE, using CuKα.
Lines closer than 0.1° are merged.

a b c (Å): 5.857 19.859 8.235
angles (deg): 90.00 110.56 90.00
Element x y z (fractional)
U: 0.191 0.062 0.257
U: 0.191 0.438 0.757
U: 0.238 0.233 0.771
U: 0.238 0.267 0.271
U: 0.308 0.646 0.847
U: 0.308 0.854 0.347
U: 0.692 0.146 0.653
U: 0.692 0.354 0.153
U: 0.762 0.733 0.729
U: 0.762 0.767 0.229
U: 0.809 0.562 0.243
U: 0.809 0.938 0.743
O: 0.037 0.685 0.934
O: 0.037 0.815 0.434
O: 0.049 0.693 0.644
O: 0.049 0.807 0.144
O: 0.092 0.181 0.228
O: 0.092 0.319 0.728
O: 0.139 0.549 0.378
O: 0.139 0.951 0.878
O: 0.155 0.053 0.470
O: 0.155 0.447 0.970
O: 0.227 0.554 0.760
O: 0.227 0.946 0.260
O: 0.290 0.072 0.070
O: 0.290 0.428 0.570
O: 0.435 0.154 0.814
O: 0.435 0.346 0.314
O: 0.454 0.231 0.565
O: 0.454 0.269 0.065
O: 0.471 0.607 0.094
O: 0.471 0.893 0.594
O: 0.529 0.107 0.406
O: 0.529 0.393 0.906
O: 0.546 0.731 0.935
O: 0.546 0.769 0.435
O: 0.565 0.654 0.686
O: 0.565 0.846 0.186
O: 0.710 0.572 0.430
O: 0.710 0.928 0.930
O: 0.773 0.054 0.740
O: 0.773 0.446 0.240
O: 0.845 0.553 0.030
O: 0.845 0.947 0.530
O: 0.861 0.049 0.122
O: 0.861 0.451 0.622
O: 0.908 0.681 0.272
O: 0.908 0.819 0.772
O: 0.951 0.193 0.856
O: 0.951 0.307 0.356
O: 0.963 0.185 0.566
O: 0.963 0.315 0.066

The 6 most intense peaks (10° ≤ 2θ ≤ 80°), by angle:
d_spacing, 2θ (°), I/Imax
5.274, 16.8, 100
4.174, 21.3, 89
3.855, 23.1, 75
3.801, 23.4, 27
3.216, 27.7, 97
2.767, 32.4, 49

=====

9.
The following is a simulated powder XRD pattern of CsCr2S4. It was derived from a crystal structure in the Materials Project, relaxed with GGA-PBE, using CuKα.
Lines closer than 0.1° are merged.

a b c (Å): 7.888 7.888 7.888
angles (deg): 60.00 60.00 60.00
Element x y z (fractional)
Cs: 0.125 0.125 0.125
Cs: 0.875 0.875 0.875
Cr: 0.000 0.500 0.500
Cr: 0.500 0.000 0.500
Cr: 0.500 0.500 0.000
Cr: 0.500 0.500 0.500
S: 0.281 0.281 0.281
S: 0.281 0.281 0.658
S: 0.281 0.658 0.281
S: 0.342 0.719 0.719
S: 0.658 0.281 0.281
S: 0.719 0.342 0.719
S: 0.719 0.719 0.342
S: 0.719 0.719 0.719

The 6 most intense peaks (10° ≤ 2θ ≤ 80°), by angle:
d_spacing, 2θ (°), I/Imax
3.944, 22.5, 98
3.364, 26.5, 100
2.277, 39.6, 27
2.147, 42.1, 76
1.972, 46.0, 57
1.491, 62.3, 27